Entry 1:
# Nd4CdTe2Se
Calculated PXRD pattern, CuKα. Input: a DFT-relaxed cell (GGA-PBE, Alexandria).
Neutral-atom scattering factors, no anomalous dispersion.

Structural model:
```
data_Nd4CdTe2Se
_chemical_formula_sum 'Nd4 Cd1 Te2 Se1'
_space_group_name_H-M_alt 'P 1 2/m 1'
_space_group_IT_number 10
_space_group_name_Hall '-P 2y'
_cell_length_a 7.721
_cell_length_b 4.339
_cell_length_c 7.735
_cell_angle_alpha 90.00
_cell_angle_beta 108.51
_cell_angle_gamma 90.00
loop_
_atom_site_label
_atom_site_fract_x
_atom_site_fract_y
_atom_site_fract_z
_atom_site_occupancy
Nd1 0.238 0.000 0.233 1
Nd2 0.248 0.500 0.757 1
Cd1 0.500 0.000 0.000 1
Te1 0.000 0.000 0.500 1
Te2 0.500 0.500 0.500 1
Se1 0.000 0.500 0.000 1
```

Principal peaks in the range 2θ = 5–70°, by angle:
2θ/deg  intensity  (hkl)
28.51  100  2 0 -2
39.94  13  2 0 2
40.74  50  3 1 -1
41.62  12  0 2 0
49.77  14  4 0 0
51.19  13  2 2 -2

=====

Entry 2:
# Tb12Tm7In
Calculated PXRD pattern, CuKα. Input: a DFT-relaxed cell (GGA-PBE, Alexandria).
Neutral-atom scattering factors, no anomalous dispersion.

Structural model:
```
data_Tb12Tm7In
_chemical_formula_sum 'Tb36 Tm21 In3'
_space_group_name_H-M_alt 'R -3'
_space_group_IT_number 148
_space_group_name_Hall '-R 3'
_cell_length_a 12.0375
_cell_length_b 12.0375
_cell_length_c 15.1448
_cell_angle_alpha 90.00
_cell_angle_beta 90.00
_cell_angle_gamma 120.00
loop_
_atom_site_label
_atom_site_fract_x
_atom_site_fract_y
_atom_site_fract_z
_atom_site_occupancy
Tb1 0.0291 0.5776 0.2088 1
Tb2 0.0582 0.4702 0.5867 1
Tm1 0.0000 0.0000 0.0000 1
Tm2 0.0486 0.8618 0.3049 1
In1 0.0000 0.0000 0.5000 1
```

Principal peaks in the range 2θ = 5–70°, by angle:
2θ/deg  intensity  (hkl)
30.74  27  0 1 5
31.25  32  0 3 3
31.50  100  1 3 1
32.80  54  2 1 4
33.17  54  4 -1 2
34.24  29  2 0 5

=====

Entry 3:
# Re2Cl5O4
Calculated PXRD pattern, CuKα. Input: a DFT-relaxed cell (GGA-PBE, Alexandria).
Neutral-atom scattering factors, no anomalous dispersion.

Structural model:
```
data_Re2Cl5O4
_chemical_formula_sum 'Re4 Cl10 O8'
_space_group_name_H-M_alt 'P -1'
_space_group_IT_number 2
_space_group_name_Hall '-P 1'
_cell_length_a 6.108
_cell_length_b 9.116
_cell_length_c 12.128
_cell_angle_alpha 68.99
_cell_angle_beta 79.95
_cell_angle_gamma 82.07
loop_
_atom_site_label
_atom_site_fract_x
_atom_site_fract_y
_atom_site_fract_z
_atom_site_occupancy
Re1 0.130 0.106 0.191 1
Re2 0.272 0.588 0.654 1
Cl1 0.101 0.085 0.691 1
Cl2 0.117 0.818 0.946 1
Cl3 0.248 0.357 0.106 1
Cl4 0.259 0.093 0.362 1
Cl5 0.456 0.384 0.775 1
O1 0.040 0.528 0.626 1
O2 0.187 0.732 0.719 1
O3 0.336 0.001 0.132 1
O4 0.439 0.668 0.521 1
```

Principal peaks in the range 2θ = 5–70°, by angle:
2θ/deg  intensity  (hkl)
15.10  100  0 1 -1
15.80  48  0 0 2
16.64  95  1 1 1
20.17  55  1 0 2
21.50  50  0 2 2
23.60  40  -1 1 2

=====

Entry 4:
# PuHfSc14
Calculated PXRD pattern, CuKα. Input: a DFT-relaxed cell (GGA-PBE, Alexandria).
Neutral-atom scattering factors, no anomalous dispersion.

Structural model:
```
data_PuHfSc14
_chemical_formula_sum 'Pu2 Hf2 Sc28'
_space_group_name_H-M_alt 'C m m m'
_space_group_IT_number 65
_space_group_name_Hall '-C 2 2'
_cell_length_a 9.189
_cell_length_b 9.205
_cell_length_c 9.132
_cell_angle_alpha 90.00
_cell_angle_beta 90.00
_cell_angle_gamma 90.00
loop_
_atom_site_label
_atom_site_fract_x
_atom_site_fract_y
_atom_site_fract_z
_atom_site_occupancy
Pu1 0.000 0.000 0.000 1
Hf1 0.000 0.500 0.000 1
Sc1 0.000 0.000 0.500 1
Sc2 0.000 0.253 0.244 1
Sc3 0.000 0.500 0.500 1
Sc4 0.247 0.500 0.244 1
Sc5 0.250 0.250 0.000 1
Sc6 0.250 0.250 0.500 1
```

Principal peaks in the range 2θ = 5–70°, by angle:
2θ/deg  intensity  (hkl)
9.68  43  0 0 1
21.64  28  2 0 1
33.84  100  2 2 2
39.18  33  4 0 0
56.83  21  4 0 4
67.61  24  6 2 2